AcMg11: simulated powder diffraction line list (copper Kα), based on the PBE geometry in Alexandria.

Atomic structure:
```
data_AcMg11
_symmetry_space_group_name_H-M 'P 1'
_symmetry_Int_Tables_number 1
_symmetry_space_group_name_Hall 'P 1'
_cell_length_a 9.5658
_cell_length_b 9.5658
_cell_length_c 9.5658
_cell_angle_alpha 100.04
_cell_angle_beta 100.04
_cell_angle_gamma 130.63
loop_
_atom_site_label
_atom_site_fract_x
_atom_site_fract_y
_atom_site_fract_z
Ac1 0.3750 0.6250 0.7500
Ac2 0.6250 0.3750 0.2500
Mg1 0.0000 0.0000 0.0000
Mg2 0.0000 0.0000 0.5000
Mg3 0.0000 0.5000 0.0000
Mg4 0.1250 0.8750 0.2500
Mg5 0.1334 0.5554 0.3330
Mg6 0.1334 0.8004 0.5781
Mg7 0.1996 0.2776 0.3330
Mg8 0.1996 0.8666 0.9219
Mg9 0.2776 0.1996 0.8330
Mg10 0.2776 0.4446 0.0781
Mg11 0.4446 0.2776 0.5781
Mg12 0.4446 0.8666 0.1670
Mg13 0.5000 0.0000 0.5000
Mg14 0.5554 0.1334 0.8330
Mg15 0.5554 0.7224 0.4219
Mg16 0.7224 0.5554 0.9219
Mg17 0.7224 0.8004 0.1670
Mg18 0.8004 0.1334 0.0781
Mg19 0.8004 0.7224 0.6670
Mg20 0.8666 0.1996 0.4219
Mg21 0.8666 0.4446 0.6670
Mg22 0.8750 0.1250 0.7500
```

Largest 10 diffraction maxima, by intensity, 2θ from 10° to 90°:
| 2theta | I_rel |
| --- | --- |
| 32.1 | 100 |
| 19.6 | 51 |
| 32.6 | 47 |
| 13.2 | 46 |
| 28.5 | 43 |
| 24.5 | 39 |
| 14.4 | 35 |
| 48.8 | 27 |
| 57.8 | 24 |
| 20.4 | 23 |

---

Ac3Mg2: simulated powder diffraction line list (copper Kα), based on the PBE geometry in Alexandria.

Atomic structure:
```
data_Ac3Mg2
_symmetry_space_group_name_H-M 'P 1'
_symmetry_Int_Tables_number 1
_symmetry_space_group_name_Hall 'P 1'
_cell_length_a 4.0940
_cell_length_b 4.0940
_cell_length_c 22.1363
_cell_angle_alpha 90.00
_cell_angle_beta 90.00
_cell_angle_gamma 90.00
loop_
_atom_site_label
_atom_site_fract_x
_atom_site_fract_y
_atom_site_fract_z
Ac1 0.0000 0.0000 0.0000
Ac2 0.0000 0.0000 0.1861
Ac3 0.0000 0.0000 0.3742
Ac4 0.0000 0.0000 0.6258
Ac5 0.0000 0.0000 0.8139
Ac6 0.5000 0.5000 0.5000
Mg1 0.5000 0.5000 0.0932
Mg2 0.5000 0.5000 0.2802
Mg3 0.5000 0.5000 0.7198
Mg4 0.5000 0.5000 0.9068
```

Largest 10 diffraction maxima, by intensity, 2θ from 10° to 90°:
| 2theta | I_rel |
| --- | --- |
| 29.7 | 100 |
| 30.9 | 60 |
| 21.7 | 42 |
| 54.2 | 38 |
| 44.2 | 23 |
| 50.5 | 21 |
| 27.1 | 17 |
| 39.6 | 16 |
| 20.1 | 16 |
| 69.4 | 15 |